Record 1
LaPrNi6B2Pt2: theoretical powder diffraction line list (Cu Kα (λ = 1.5418 Å)), based on a cell relaxed with GGA-PBE.
Lines closer than 0.1° are merged.

Most intense lines, 10° ≤ 2θ ≤ 90°, low angle first:
(hkl), 2θ/deg, Rel. int.
0 0 1, 12.3, 25
1 1 0, 34.4, 40
1 1 1, 36.7, 39
0 0 3, 37.6, 18
2 0 0, 39.9, 20
1 1 2, 42.9, 100
1 1 4, 62.9, 20
3 0 2, 67.4, 29

Atomic structure:
```
data_LaPrNi6B2Pt2
_chemical_formula_sum 'La1 Pr1 Ni6 B2 Pt2'
_cell_length_a 5.2160
_cell_length_b 5.2160
_cell_length_c 7.1782
_cell_angle_alpha 90.00
_cell_angle_beta 90.00
_cell_angle_gamma 120.00
_space_group_name_H-M_alt 'P 6/m m m'
_space_group_IT_number 191
_space_group_name_Hall '-P 6 2'
loop_
_atom_site_label
_atom_site_type_symbol
_atom_site_fract_x
_atom_site_fract_y
_atom_site_fract_z
La1 La 0.0000 0.0000 0.0000
Pr1 Pr 0.0000 0.0000 0.5000
Ni1 Ni 0.0000 0.5000 0.1942
B1 B 0.3333 0.6667 0.0000
Pt1 Pt 0.3333 0.6667 0.5000
```

***

Record 2
SrNb2O6: theoretical powder diffraction line list (Cu Kα (λ = 1.5418 Å)), based on a cell relaxed with GGA-PBE.
Lines closer than 0.1° are merged.

Most intense lines, 10° ≤ 2θ ≤ 90°, low angle first:
(hkl), 2θ/deg, Rel. int.
0 0 2, 16.8, 23
1 0 2, 25.7, 100
1 1 0, 33.8, 37
2 0 2, 42.9, 22
1 1 4, 48.7, 48
2 1 2, 55.7, 22
1 0 6, 56.0, 10
3 0 0, 60.5, 15

Atomic structure:
```
data_SrNb2O6
_chemical_formula_sum 'Sr2 Nb4 O12'
_cell_length_a 5.3043
_cell_length_b 5.3043
_cell_length_c 10.5505
_cell_angle_alpha 90.00
_cell_angle_beta 90.00
_cell_angle_gamma 120.00
_space_group_name_H-M_alt 'P 63/m c m'
_space_group_IT_number 193
_space_group_name_Hall '-P 6c 2'
loop_
_atom_site_label
_atom_site_type_symbol
_atom_site_fract_x
_atom_site_fract_y
_atom_site_fract_z
Sr1 Sr 0.0000 0.0000 0.2500
Nb1 Nb 0.3333 0.6667 0.0000
O1 O 0.0000 0.3754 0.1053
```

***

Record 3
SrCuSb2Pt: theoretical powder diffraction line list (Cu Kα (λ = 1.5418 Å)), based on a cell relaxed with GGA-PBE.
Lines closer than 0.1° are merged.

Most intense lines, 10° ≤ 2θ ≤ 90°, low angle first:
(hkl), 2θ/deg, Rel. int.
1 0 1, 20.8, 54
1 0 3, 31.1, 88
1 1 2, 31.8, 86
2 0 0, 38.9, 100
1 1 4, 43.0, 74
1 0 5, 45.7, 40
2 1 3, 50.7, 45
2 2 0, 56.2, 34

Atomic structure:
```
data_SrCuSb2Pt
_chemical_formula_sum 'Sr2 Cu2 Sb4 Pt2'
_cell_length_a 4.6283
_cell_length_b 4.6283
_cell_length_c 10.9942
_cell_angle_alpha 90.00
_cell_angle_beta 90.00
_cell_angle_gamma 90.00
_space_group_name_H-M_alt 'P 4/n m m'
_space_group_IT_number 129
loop_
_space_group_symop_operation_xyz
'x,y,z'
'-x,-y,-z'
'-y+1/2,x,z'
'y+1/2,-x,-z'
'-x+1/2,-y+1/2,z'
'x+1/2,y+1/2,-z'
'y,-x+1/2,z'
'-y,x+1/2,-z'
'x+1/2,-y,-z'
'-x+1/2,y,z'
'-y,-x,-z'
'y,x,z'
'-x,y+1/2,-z'
'x,-y+1/2,z'
'y+1/2,x+1/2,-z'
'-y+1/2,-x+1/2,z'
loop_
_atom_site_label
_atom_site_type_symbol
_atom_site_fract_x
_atom_site_fract_y
_atom_site_fract_z
Sr1 Sr 0.2500 0.2500 0.2406
Cu1 Cu 0.2500 0.7500 0.0000
Sb1 Sb 0.2500 0.2500 0.8737
Sb2 Sb 0.2500 0.7500 0.5000
Pt1 Pt 0.2500 0.2500 0.6310
```

***

Record 4
HfCu2TeSeS: theoretical powder diffraction line list (Cu Kα (λ = 1.5418 Å)), based on a cell relaxed with GGA-PBE.
Lines closer than 0.1° are merged.

Most intense lines, 10° ≤ 2θ ≤ 90°, low angle first:
(hkl), 2θ/deg, Rel. int.
0 0 1, 12.9, 100
4 0 -1, 20.8, 57
3 1 0, 26.8, 86
3 1 1, 30.8, 83
3 1 2, 39.2, 34
7 1 0, 39.9, 40
1 1 -3, 45.8, 46
0 2 0, 46.8, 45

Atomic structure:
```
data_HfCu2TeSeS
_chemical_formula_sum 'Hf4 Cu8 Te4 Se4 S4'
_cell_length_a 19.6335
_cell_length_b 3.8792
_cell_length_c 6.9207
_cell_angle_alpha 90.00
_cell_angle_beta 98.66
_cell_angle_gamma 90.00
_space_group_name_H-M_alt 'C 1 2/m 1'
_space_group_IT_number 12
loop_
_space_group_symop_operation_xyz
'x,y,z'
'-x,-y,-z'
'-x,y,-z'
'x,-y,z'
'x+1/2,y+1/2,z'
'-x+1/2,-y+1/2,-z'
'-x+1/2,y+1/2,-z'
'x+1/2,-y+1/2,z'
loop_
_atom_site_label
_atom_site_type_symbol
_atom_site_fract_x
_atom_site_fract_y
_atom_site_fract_z
Hf1 Hf 0.1512 0.0000 0.0476
Cu1 Cu 0.0506 0.5000 0.1564
Cu2 Cu 0.2064 0.0000 0.4481
Te1 Te 0.0800 0.5000 0.7928
Se1 Se 0.2458 0.5000 0.2123
S1 S 0.0912 0.0000 0.3271
```

***

Record 5
HoHg3Se4Br: theoretical powder diffraction line list (Cu Kα (λ = 1.5418 Å)), based on a cell relaxed with GGA-PBE.
Lines closer than 0.1° are merged.

Most intense lines, 10° ≤ 2θ ≤ 90°, low angle first:
(hkl), 2θ/deg, Rel. int.
0 0 2, 20.8, 46
2 0 0, 25.3, 96
1 1 2, 30.3, 98
2 0 2, 32.9, 100
2 1 2, 39.9, 27
3 0 2, 44.0, 41
2 2 0, 44.6, 79
2 0 4, 49.9, 28

Atomic structure:
```
data_HoHg3Se4Br
_chemical_formula_sum 'Ho2 Hg6 Se8 Br2'
_cell_length_a 8.1343
_cell_length_b 8.1343
_cell_length_c 8.5497
_cell_angle_alpha 90.00
_cell_angle_beta 90.00
_cell_angle_gamma 120.00
_space_group_name_H-M_alt 'P 63 m c'
_space_group_IT_number 186
_space_group_name_Hall 'P 6c -2c'
loop_
_atom_site_label
_atom_site_type_symbol
_atom_site_fract_x
_atom_site_fract_y
_atom_site_fract_z
Ho1 Ho 0.0000 0.0000 0.0000
Hg1 Hg 0.0170 0.5085 0.1578
Se1 Se 0.1421 0.2842 0.7417
Se2 Se 0.3333 0.6667 0.9953
Br1 Br 0.3333 0.6667 0.4320
```